1.
Starting from a DFT-relaxed cell (GGA-PBE, Alexandria), the powder diffraction line list of HgSb2Pb2 was computed for Cu Kα (weighted mean of Kα1 and Kα2).

Peak list (10 most intense, 2θ = 10–90°, low angle first)
| index | 2theta | I/Imax |
| --- | --- | --- |
| 1 1 2 | 27.27 | 100 |
| 1 0 3 | 28.16 | 34 |
| 2 0 0 | 31.85 | 66 |
| 1 1 4 | 38.63 | 22 |
| 2 1 3 | 43.03 | 22 |
| 2 2 0 | 45.66 | 25 |
| 1 1 6 | 53.01 | 16 |
| 3 1 2 | 54.01 | 43 |
| 3 1 6 | 72.51 | 13 |
| 2 0 8 | 74.02 | 12 |

Atomic structure:
```
data_HgSb2Pb2
_space_group_name_H-M_alt 'I 4/m m m'
_space_group_IT_number 139
_space_group_name_Hall '-I 4 2'
_cell_length_a 5.619
_cell_length_b 5.619
_cell_length_c 11.510
_cell_angle_alpha 90.00
_cell_angle_beta 90.00
_cell_angle_gamma 90.00
loop_
_atom_site_label
_atom_site_type_symbol
_atom_site_fract_x
_atom_site_fract_y
_atom_site_fract_z
_atom_site_occupancy
Hg1 Hg 0.000 0.000 0.000 1
Sb1 Sb 0.000 0.000 0.376 1
Pb1 Pb 0.000 0.500 0.250 1
```

2.
Starting from a DFT-relaxed cell (GGA-PBE, Alexandria), the powder diffraction line list of RbPd6Se2 was computed for Cu Kα (weighted mean of Kα1 and Kα2).

Peak list (10 most intense, 2θ = 10–90°, low angle first)
| index | 2theta | I/Imax |
| --- | --- | --- |
| 1 0 2 | 27.35 | 23 |
| 1 0 3 | 33.28 | 19 |
| 1 1 2 | 35.09 | 65 |
| 1 1 3 | 40.00 | 100 |
| 2 0 0 | 43.93 | 63 |
| 1 1 4 | 46.14 | 20 |
| 0 0 6 | 51.41 | 15 |
| 2 2 0 | 63.87 | 20 |
| 2 0 6 | 69.88 | 24 |
| 3 1 3 | 78.08 | 28 |

Atomic structure:
```
data_RbPd6Se2
_space_group_name_H-M_alt 'P 4/m m m'
_space_group_IT_number 123
_space_group_name_Hall '-P 4 2'
_cell_length_a 4.122
_cell_length_b 4.122
_cell_length_c 10.664
_cell_angle_alpha 90.00
_cell_angle_beta 90.00
_cell_angle_gamma 90.00
loop_
_atom_site_label
_atom_site_type_symbol
_atom_site_fract_x
_atom_site_fract_y
_atom_site_fract_z
_atom_site_occupancy
Rb1 Rb 0.000 0.000 0.000 1
Pd1 Pd 0.000 0.000 0.500 1
Pd2 Pd 0.000 0.500 0.320 1
Pd3 Pd 0.500 0.500 0.500 1
Se1 Se 0.500 0.500 0.188 1
```

3.
Starting from a DFT-relaxed cell (GGA-PBE, Alexandria), the powder diffraction line list of AcAsP2O8 was computed for Cu Kα (weighted mean of Kα1 and Kα2).

Peak list (10 most intense, 2θ = 10–90°, low angle first)
| index | 2theta | I/Imax |
| --- | --- | --- |
| 1 1 0 | 19.50 | 46 |
| 2 0 0 | 20.33 | 56 |
| 1 1 -1 | 22.22 | 58 |
| 1 1 1 | 27.02 | 100 |
| 2 0 -2 | 29.54 | 39 |
| 3 1 -1 | 33.31 | 67 |
| 0 2 0 | 33.60 | 33 |
| 2 2 -1 | 39.58 | 51 |
| 2 0 2 | 43.04 | 42 |
| 1 1 -3 | 46.68 | 27 |

Atomic structure:
```
data_AcAsP2O8
_space_group_name_H-M_alt 'C 1 2/m 1'
_space_group_IT_number 12
_cell_length_a 9.417
_cell_length_b 5.335
_cell_length_c 6.353
_cell_angle_alpha 90.00
_cell_angle_beta 112.12
_cell_angle_gamma 90.00
loop_
_space_group_symop_operation_xyz
'x,y,z'
'-x,-y,-z'
'-x,y,-z'
'x,-y,z'
'x+1/2,y+1/2,z'
'-x+1/2,-y+1/2,-z'
'-x+1/2,y+1/2,-z'
'x+1/2,-y+1/2,z'
loop_
_atom_site_label
_atom_site_type_symbol
_atom_site_fract_x
_atom_site_fract_y
_atom_site_fract_z
_atom_site_occupancy
Ac1 Ac 0.000 0.000 0.000 1
As1 As 0.000 0.500 0.500 1
P1 P 0.211 0.000 0.665 1
O1 O 0.109 0.500 0.233 1
O2 O 0.149 0.234 0.756 1
O3 O 0.152 0.000 0.409 1
```